Record 1
Computed XRD peak list
Compound: Nd2NpSb2N2
Radiation: Cu Kα (weighted mean of Kα1 and Kα2)
Structure: DFT lattice parameters and positions (PBE)
No peak broadening, texture or thermal motion is included.

Largest 10 diffraction maxima, by angle, 10 to 90 degrees two-theta:
8.208 Å, 10.78 deg, I 12
3.071 Å, 29.08 deg, I 78
2.619 Å, 34.24 deg, I 100
2.171 Å, 41.59 deg, I 34
1.672 Å, 54.93 deg, I 52
1.535 Å, 60.28 deg, I 11
1.448 Å, 64.35 deg, I 11
1.373 Å, 68.30 deg, I 14
1.325 Å, 71.19 deg, I 12
1.131 Å, 85.97 deg, I 15

a b c (Å): 8.764 8.764 8.764
angles (deg): 151.31 151.31 41.02
Element x y z (fractional)
Nd1 0.112 0.112 0.000
Nd2 0.888 0.888 0.000
Np1 0.500 0.500 0.000
Sb1 0.312 0.312 0.000
Sb2 0.688 0.688 0.000
N1 0.000 0.500 0.500
N2 0.500 0.000 0.500

=====

Record 2
Computed XRD peak list
Compound: Re3C4
Radiation: Cu Kα (weighted mean of Kα1 and Kα2)
Structure: DFT lattice parameters and positions (PBE)
No peak broadening, texture or thermal motion is included.

Largest 10 diffraction maxima, by angle, 10 to 90 degrees two-theta:
4.291 Å, 20.70 deg, I 9
2.860 Å, 31.27 deg, I 28
2.519 Å, 35.64 deg, I 100
1.984 Å, 45.73 deg, I 35
1.846 Å, 49.36 deg, I 20
1.630 Å, 56.44 deg, I 22
1.577 Å, 58.52 deg, I 12
1.403 Å, 66.67 deg, I 11
1.226 Å, 77.95 deg, I 22
1.195 Å, 80.39 deg, I 11

a b c (Å): 8.807 8.807 8.807
angles (deg): 161.67 161.67 26.04
Element x y z (fractional)
Re1 0.000 0.000 0.000
Re2 0.313 0.313 0.000
Re3 0.687 0.687 0.000
C1 0.139 0.139 0.000
C2 0.436 0.436 0.000
C3 0.564 0.564 0.000
C4 0.861 0.861 0.000

=====

Record 3
Computed XRD peak list
Compound: CaLa12Tm5
Radiation: Cu Kα (weighted mean of Kα1 and Kα2)
Structure: DFT lattice parameters and positions (PBE)
No peak broadening, texture or thermal motion is included.

Largest 10 diffraction maxima, by angle, 10 to 90 degrees two-theta:
3.009 Å, 29.69 deg, I 100
2.993 Å, 29.85 deg, I 98
2.613 Å, 34.32 deg, I 34
2.592 Å, 34.61 deg, I 66
1.840 Å, 49.54 deg, I 60
1.574 Å, 58.63 deg, I 15
1.572 Å, 58.73 deg, I 15
1.567 Å, 58.92 deg, I 28
1.561 Å, 59.20 deg, I 27
1.504 Å, 61.66 deg, I 12

a b c (Å): 11.022 11.022 6.389
angles (deg): 106.64 106.64 59.59
Element x y z (fractional)
Ca1 0.000 0.000 0.000
La1 0.003 0.657 0.662
La2 0.163 0.504 0.164
La3 0.176 0.824 0.500
La4 0.338 0.662 0.000
La5 0.343 0.997 0.338
La6 0.496 0.837 0.836
La7 0.504 0.163 0.164
La8 0.657 0.003 0.662
La9 0.662 0.338 0.000
La10 0.824 0.176 0.500
La11 0.837 0.496 0.836
La12 0.997 0.343 0.338
Tm1 0.169 0.169 0.827
Tm2 0.334 0.334 0.662
Tm3 0.500 0.500 0.500
Tm4 0.666 0.666 0.338
Tm5 0.831 0.831 0.173

=====

Record 4
Computed XRD peak list
Compound: Ac2Pd12Au5
Radiation: Cu Kα (weighted mean of Kα1 and Kα2)
Structure: DFT lattice parameters and positions (PBE)
No peak broadening, texture or thermal motion is included.

Largest 10 diffraction maxima, by angle, 10 to 90 degrees two-theta:
3.302 Å, 27.00 deg, I 26
2.713 Å, 33.02 deg, I 44
2.349 Å, 38.31 deg, I 98
2.342 Å, 38.44 deg, I 100
2.321 Å, 38.80 deg, I 34
2.305 Å, 39.08 deg, I 31
2.298 Å, 39.20 deg, I 40
2.096 Å, 43.16 deg, I 60
1.356 Å, 69.27 deg, I 31
1.344 Å, 70.00 deg, I 27

a b c (Å): 7.140 7.140 7.140
angles (deg): 82.30 82.30 82.30
Element x y z (fractional)
Ac1 0.158 0.158 0.158
Ac2 0.842 0.842 0.842
Pd1 0.149 0.149 0.658
Pd2 0.149 0.658 0.149
Pd3 0.200 0.500 0.800
Pd4 0.200 0.800 0.500
Pd5 0.342 0.851 0.851
Pd6 0.500 0.200 0.800
Pd7 0.500 0.800 0.200
Pd8 0.658 0.149 0.149
Pd9 0.800 0.200 0.500
Pd10 0.800 0.500 0.200
Pd11 0.851 0.342 0.851
Pd12 0.851 0.851 0.342
Au1 0.000 0.500 0.500
Au2 0.401 0.401 0.401
Au3 0.500 0.000 0.500
Au4 0.500 0.500 0.000
Au5 0.599 0.599 0.599